1.
Starting from a cell relaxed with GGA-PBE, the PXRD pattern of Sm4Dy19Er6 was computed for Cu Kα (λ = 1.5418 Å).
Intensities are scaled so that the largest is 100.

Peak list (12 most intense, 10° ≤ 2θ ≤ 90°, in order of rising 2θ)
26.8 deg, I 48.9
28.7 deg, I 60.9
30.5 deg, I 100.0
33.8 deg, I 17.3
35.3 deg, I 42.6
36.8 deg, I 74.5
42.4 deg, I 22.4
52.0 deg, I 17.1
54.2 deg, I 25.8
60.5 deg, I 29.6
61.5 deg, I 22.0
72.0 deg, I 17.9

Structural model:
abc: 10.774 10.774 10.774
angles: 109.47 109.47 109.47
Atoms (fractional coordinates):
Sm 0.000 0.000 0.359
Sm 0.000 0.359 0.000
Sm 0.359 0.000 0.000
Sm 0.641 0.641 0.641
Dy 0.000 0.000 0.000
Dy 0.000 0.262 0.262
Dy 0.000 0.738 0.738
Dy 0.013 0.215 0.673
Dy 0.202 0.987 0.661
Dy 0.215 0.673 0.013
Dy 0.262 0.000 0.262
Dy 0.262 0.262 0.000
Dy 0.327 0.542 0.339
Dy 0.339 0.327 0.542
Dy 0.458 0.785 0.798
Dy 0.542 0.339 0.327
Dy 0.661 0.202 0.987
Dy 0.673 0.013 0.215
Dy 0.738 0.000 0.738
Dy 0.738 0.738 0.000
Dy 0.785 0.798 0.458
Dy 0.798 0.458 0.785
Dy 0.987 0.661 0.202
Er 0.126 0.500 0.626
Er 0.374 0.874 0.500
Er 0.500 0.374 0.874
Er 0.500 0.626 0.126
Er 0.626 0.126 0.500
Er 0.874 0.500 0.374

2.
Starting from a cell relaxed with GGA-PBE, the PXRD pattern of AcTaNb2O8 was computed for Cu Kα (λ = 1.5418 Å).
Intensities are scaled so that the largest is 100.

Peak list (12 most intense, 10° ≤ 2θ ≤ 90°, in order of rising 2θ)
17.8 deg, I 25.5
24.8 deg, I 61.2
25.8 deg, I 52.8
32.2 deg, I 100.0
36.1 deg, I 29.2
37.4 deg, I 11.9
48.5 deg, I 20.8
48.6 deg, I 20.5
49.7 deg, I 35.6
57.9 deg, I 10.8
59.4 deg, I 9.9
62.5 deg, I 21.7

Structural model:
abc: 4.979 4.979 6.711
angles: 90.10 90.10 87.74
Atoms (fractional coordinates):
Ac 0.000 0.000 0.000
Ta 0.000 0.000 0.500
Nb 0.500 0.500 0.266
Nb 0.500 0.500 0.734
O 0.209 0.789 0.296
O 0.211 0.791 0.704
O 0.285 0.285 0.501
O 0.338 0.338 0.999
O 0.662 0.662 0.001
O 0.715 0.715 0.499
O 0.789 0.209 0.296
O 0.791 0.211 0.704

3.
Starting from a cell relaxed with GGA-PBE, the PXRD pattern of Sm3Y2Er6 was computed for Cu Kα (λ = 1.5418 Å).
Intensities are scaled so that the largest is 100.

Peak list (12 most intense, 10° ≤ 2θ ≤ 90°, in order of rising 2θ)
30.8 deg, I 100.0
30.9 deg, I 99.1
35.7 deg, I 67.3
35.9 deg, I 33.3
51.3 deg, I 12.2
51.5 deg, I 23.9
51.6 deg, I 35.6
61.0 deg, I 21.4
61.3 deg, I 28.2
61.4 deg, I 21.0
84.2 deg, I 14.6
86.9 deg, I 10.9

Structural model:
abc: 6.140 7.918 7.953
angles: 107.45 104.72 97.29
Atoms (fractional coordinates):
Sm 0.000 0.000 0.000
Sm 0.363 0.274 0.454
Sm 0.637 0.726 0.546
Y 0.092 0.817 0.363
Y 0.908 0.183 0.637
Er 0.182 0.636 0.729
Er 0.274 0.455 0.090
Er 0.454 0.092 0.820
Er 0.546 0.908 0.180
Er 0.726 0.545 0.910
Er 0.818 0.364 0.271

4.
Starting from a cell relaxed with GGA-PBE, the PXRD pattern of Cs3Ge2I3Cl4 was computed for Cu Kα (λ = 1.5418 Å).
Intensities are scaled so that the largest is 100.

Peak list (12 most intense, 10° ≤ 2θ ≤ 90°, in order of rising 2θ)
21.6 deg, I 44.1
21.7 deg, I 59.5
24.8 deg, I 60.2
28.3 deg, I 100.0
29.9 deg, I 62.5
30.3 deg, I 47.2
31.5 deg, I 65.2
37.2 deg, I 30.6
43.1 deg, I 34.8
44.0 deg, I 50.8
44.3 deg, I 30.2
54.3 deg, I 32.5

Structural model:
abc: 15.328 15.328 15.328
angles: 157.50 31.21 158.65
Atoms (fractional coordinates):
Cs 0.000 0.000 0.000
Cs 0.178 0.991 0.187
Cs 0.804 0.991 0.813
Ge 0.429 0.038 0.391
Ge 0.647 0.038 0.609
I 0.390 0.490 0.899
I 0.514 0.014 0.500
I 0.591 0.490 0.101
Cl 0.065 0.454 0.611
Cl 0.312 0.007 0.305
Cl 0.703 0.007 0.695
Cl 0.842 0.454 0.389

5.
Starting from a cell relaxed with GGA-PBE, the PXRD pattern of Nd3ErTm8 was computed for Cu Kα (λ = 1.5418 Å).
Intensities are scaled so that the largest is 100.

Peak list (12 most intense, 10° ≤ 2θ ≤ 90°, in order of rising 2θ)
14.4 deg, I 33.2
24.2 deg, I 72.0
25.9 deg, I 54.7
29.0 deg, I 81.9
31.8 deg, I 73.2
33.2 deg, I 67.5
36.3 deg, I 100.0
43.6 deg, I 52.3
44.6 deg, I 71.4
56.3 deg, I 28.0
59.7 deg, I 26.4
69.6 deg, I 36.7

Structural model:
abc: 8.338 8.338 8.338
angles: 117.02 117.02 95.25
Atoms (fractional coordinates):
Nd 0.000 0.000 0.000
Nd 0.250 0.750 0.500
Nd 0.750 0.250 0.500
Er 0.500 0.500 0.000
Tm 0.129 0.381 0.000
Tm 0.245 0.245 0.512
Tm 0.268 0.755 0.000
Tm 0.381 0.129 0.000
Tm 0.619 0.619 0.748
Tm 0.732 0.732 0.488
Tm 0.755 0.268 0.000
Tm 0.871 0.871 0.252

6.
Starting from a cell relaxed with GGA-PBE, the PXRD pattern of Sr2In3Ga was computed for Cu Kα (λ = 1.5418 Å).
Intensities are scaled so that the largest is 100.

Peak list (12 most intense, 10° ≤ 2θ ≤ 90°, in order of rising 2θ)
15.1 deg, I 18.3
29.6 deg, I 54.1
30.2 deg, I 100.0
30.4 deg, I 35.5
34.8 deg, I 41.8
35.7 deg, I 50.1
36.3 deg, I 76.3
47.6 deg, I 20.5
50.7 deg, I 27.9
57.9 deg, I 18.0
58.1 deg, I 15.3
81.2 deg, I 15.0

Structural model:
abc: 11.753 5.027 8.106
angles: 90.00 133.42 90.00
Atoms (fractional coordinates):
Sr 0.000 0.000 0.000
Sr 0.090 0.000 0.590
Sr 0.500 0.500 0.000
Sr 0.590 0.500 0.590
In 0.207 0.500 0.391
In 0.376 0.000 0.186
In 0.394 0.000 0.593
In 0.707 0.000 0.391
In 0.876 0.500 0.186
In 0.894 0.500 0.593
Ga 0.209 0.500 0.024
Ga 0.709 0.000 0.024

7.
Starting from a cell relaxed with GGA-PBE, the PXRD pattern of Sm6Er2Cd was computed for Cu Kα (λ = 1.5418 Å).
Intensities are scaled so that the largest is 100.

Peak list (12 most intense, 10° ≤ 2θ ≤ 90°, in order of rising 2θ)
27.5 deg, I 20.5
28.4 deg, I 31.9
30.5 deg, I 70.7
31.3 deg, I 33.0
31.8 deg, I 86.5
32.3 deg, I 100.0
32.7 deg, I 61.5
33.1 deg, I 31.7
33.3 deg, I 62.8
55.0 deg, I 19.8
55.8 deg, I 27.2
60.5 deg, I 20.0

Structural model:
abc: 11.705 11.705 5.872
angles: 103.53 103.53 48.13
Atoms (fractional coordinates):
Sm 0.073 0.821 0.947
Sm 0.076 0.664 0.363
Sm 0.179 0.927 0.553
Sm 0.281 0.431 0.823
Sm 0.336 0.924 0.137
Sm 0.431 0.281 0.323
Sm 0.569 0.719 0.677
Sm 0.664 0.076 0.863
Sm 0.719 0.569 0.177
Sm 0.821 0.073 0.447
Sm 0.924 0.336 0.637
Sm 0.927 0.179 0.053
Er 0.101 0.345 0.224
Er 0.345 0.101 0.724
Er 0.655 0.899 0.276
Er 0.899 0.655 0.776
Cd 0.441 0.559 0.250
Cd 0.559 0.441 0.750

8.
Starting from a cell relaxed with GGA-PBE, the PXRD pattern of LiUBi was computed for Cu Kα (λ = 1.5418 Å).
Intensities are scaled so that the largest is 100.

Peak list (12 most intense, 10° ≤ 2θ ≤ 90°, in order of rising 2θ)
10.7 deg, I 100.0
25.5 deg, I 31.6
26.3 deg, I 17.6
28.0 deg, I 43.1
30.3 deg, I 17.8
33.9 deg, I 53.1
34.9 deg, I 17.6
36.0 deg, I 29.5
36.3 deg, I 23.5
36.7 deg, I 30.9
37.0 deg, I 17.2
55.7 deg, I 16.2

Structural model:
abc: 8.434 5.941 5.960
angles: 90.00 102.53 90.00
Atoms (fractional coordinates):
Li 0.045 0.248 0.008
Li 0.045 0.252 0.508
Li 0.955 0.748 0.492
Li 0.955 0.752 0.992
U 0.426 0.134 0.865
U 0.426 0.366 0.365
U 0.574 0.634 0.635
U 0.574 0.866 0.135
Bi 0.240 0.597 0.830
Bi 0.240 0.903 0.330
Bi 0.760 0.097 0.670
Bi 0.760 0.403 0.170

- Number 2 is which compound?
  AcTaNb2O8